# Pr7Tm3Sc
Simulated powder X-ray diffraction pattern, Cu Kα (λ = 1.5418 Å). Input: a DFT-relaxed cell (PBE, Alexandria).
Peak positions follow from Bragg's law for the DFT cell and can differ from measured ones.

```
data_Pr7Tm3Sc
_cell_length_a 6.235
_cell_length_b 9.736
_cell_length_c 12.557
_cell_angle_alpha 93.57
_cell_angle_beta 92.49
_cell_angle_gamma 103.05
_symmetry_space_group_name_H-M 'P 1'
_symmetry_Int_Tables_number 1
_symmetry_space_group_name_Hall 'P 1'
loop_
_atom_site_label
_atom_site_fract_x
_atom_site_fract_y
_atom_site_fract_z
_atom_site_occupancy
Pr1 0.000 0.000 0.000 1
Pr2 0.025 0.850 0.244 1
Pr3 0.112 0.367 0.550 1
Pr4 0.138 0.016 0.507 1
Pr5 0.286 0.358 0.049 1
Pr6 0.318 0.717 0.080 1
Pr7 0.398 0.733 0.595 1
Pr8 0.467 0.917 0.862 1
Pr9 0.576 0.282 0.406 1
Pr10 0.594 0.923 0.374 1
Pr11 0.650 0.455 0.687 1
Pr12 0.758 0.277 0.915 1
Pr13 0.808 0.473 0.189 1
Pr14 0.939 0.828 0.731 1
Tm1 0.197 0.544 0.820 1
Tm2 0.323 0.558 0.328 1
Tm3 0.529 0.093 0.142 1
Tm4 0.680 0.101 0.645 1
Tm5 0.746 0.636 0.948 1
Tm6 0.858 0.645 0.463 1
Sc1 0.047 0.203 0.274 1
Sc2 0.215 0.187 0.778 1
```

Peak list (10 most intense, 10° ≤ 2θ ≤ 90°, in order of rising 2θ)
28.79 deg, d 3.101, I = 325; 29.94 deg, d 2.985, I = 195; 30.80 deg, d 2.903, I = 743; 31.19 deg, d 2.868, I = 564; 31.40 deg, d 2.849, I = 600; 32.09 deg, d 2.789, I = 270; 32.76 deg, d 2.734, I = 1000; 33.28 deg, d 2.692, I = 269; 49.03 deg, d 1.858, I = 186; 59.17 deg, d 1.562, I = 187


# PrTm5Sc2
Simulated powder X-ray diffraction pattern, Cu Kα (λ = 1.5418 Å). Input: a DFT-relaxed cell (PBE, Alexandria).
Peak positions follow from Bragg's law for the DFT cell and can differ from measured ones.

```
data_PrTm5Sc2
_cell_length_a 11.170
_cell_length_b 12.033
_cell_length_c 6.977
_cell_angle_alpha 90.00
_cell_angle_beta 90.00
_cell_angle_gamma 90.00
_symmetry_space_group_name_H-M 'P b a m'
_symmetry_Int_Tables_number 55
_symmetry_space_group_name_Hall '-P 2 2ab'
loop_
_atom_site_label
_atom_site_fract_x
_atom_site_fract_y
_atom_site_fract_z
_atom_site_occupancy
Pr1 0.247 0.079 0.000 1
Tm1 0.000 0.248 0.000 1
Tm2 0.000 0.500 0.255 1
Tm3 0.001 0.247 0.500 1
Tm4 0.249 0.833 0.255 1
Sc1 0.000 0.000 0.258 1
Sc2 0.247 0.083 0.500 1
```

Peak list (10 most intense, 10° ≤ 2θ ≤ 90°, in order of rising 2θ)
29.64 deg, d 3.014, I = 89; 30.72 deg, d 2.910, I = 402; 32.05 deg, d 2.792, I = 336; 33.79 deg, d 2.653, I = 1000; 38.42 deg, d 2.343, I = 219; 52.64 deg, d 1.739, I = 166; 58.23 deg, d 1.584, I = 145; 62.82 deg, d 1.479, I = 96; 62.98 deg, d 1.476, I = 191; 63.91 deg, d 1.457, I = 99